Diffraction record for BaLiAgTe2. The powder diffraction line list is computed, not measured: it uses the PBE geometry in Alexandria and CuKα.
Kinematic intensities with the Lorentz-polarization factor, no thermal factor.

Main lines, in order of rising 2θ (10 to 90 degrees two-theta):
26.33 deg, I 100; 28.31 deg, I 57; 30.37 deg, I 26; 35.20 deg, I 55; 42.00 deg, I 20; 46.87 deg, I 25; 48.93 deg, I 18; 55.67 deg, I 17

Atomic structure:
```
data_BaLiAgTe2
_symmetry_space_group_name_H-M 'C m m e'
_symmetry_Int_Tables_number 67
_symmetry_space_group_name_Hall '-C 2a 2'
_cell_length_a 6.3048
_cell_length_b 15.5034
_cell_length_c 6.3618
_cell_angle_alpha 90.00
_cell_angle_beta 90.00
_cell_angle_gamma 90.00
loop_
_atom_site_label
_atom_site_fract_x
_atom_site_fract_y
_atom_site_fract_z
Ba1 0.0000 0.2500 0.2343
Li1 0.2500 0.0000 0.5000
Ag1 0.0000 0.0000 0.0000
Te1 0.0000 0.1281 0.7245
```

Diffraction record for Ba3Li2Zn2Ag4. The powder diffraction line list is computed, not measured: it uses the PBE geometry in Alexandria and CuKα.
Kinematic intensities with the Lorentz-polarization factor, no thermal factor.

Main lines, in order of rising 2θ (10 to 90 degrees two-theta):
24.16 deg, I 36; 26.96 deg, I 47; 30.48 deg, I 100; 38.01 deg, I 67; 49.48 deg, I 25; 54.46 deg, I 26; 58.80 deg, I 16; 64.04 deg, I 23

Atomic structure:
```
data_Ba3Li2Zn2Ag4
_symmetry_space_group_name_H-M 'P -3 m 1'
_symmetry_Int_Tables_number 164
_symmetry_space_group_name_Hall '-P 3 2"'
_cell_length_a 4.7349
_cell_length_b 4.7349
_cell_length_c 16.7890
_cell_angle_alpha 90.00
_cell_angle_beta 90.00
_cell_angle_gamma 120.00
loop_
_atom_site_label
_atom_site_fract_x
_atom_site_fract_y
_atom_site_fract_z
Ba1 0.0000 0.0000 0.0000
Ba2 0.0000 0.0000 0.2707
Li1 0.3333 0.6667 0.5563
Zn1 0.3333 0.6667 0.1371
Ag1 0.3333 0.6667 0.3970
Ag2 0.3333 0.6667 0.8636
```

Diffraction record for BaLuAgSn. The powder diffraction line list is computed, not measured: it uses the PBE geometry in Alexandria and CuKα.
Kinematic intensities with the Lorentz-polarization factor, no thermal factor.

Main lines, in order of rising 2θ (10 to 90 degrees two-theta):
19.62 deg, I 1; 22.70 deg, I 2; 32.32 deg, I 100; 46.35 deg, I 18; 57.63 deg, I 38; 67.64 deg, I 12; 76.97 deg, I 17; 85.95 deg, I 4

Atomic structure:
```
data_BaLuAgSn
_symmetry_space_group_name_H-M 'F -4 3 m'
_symmetry_Int_Tables_number 216
_symmetry_space_group_name_Hall 'F -4 2 3'
_cell_length_a 7.8353
_cell_length_b 7.8353
_cell_length_c 7.8353
_cell_angle_alpha 90.00
_cell_angle_beta 90.00
_cell_angle_gamma 90.00
loop_
_atom_site_label
_atom_site_fract_x
_atom_site_fract_y
_atom_site_fract_z
Ba1 0.0000 0.0000 0.0000
Lu1 0.0000 0.0000 0.5000
Ag1 0.2500 0.2500 0.7500
Sn1 0.2500 0.2500 0.2500
```